Record 1
Starting from a GGA-PBE-relaxed structure, the powder diffraction line list of Te2MoW2S4 was computed for Cu Kα X-rays.
Intensities are scaled so that the largest is 100.

Most intense lines, 2θ from 5° to 70°, low angle first:
d/Å	intensity	hkl
15.269	100	0 0 2
7.635	29	0 0 4
2.860	7	1 0 0
2.678	6	0 1 4
2.493	13	0 1 6
2.392	14	1 0 7
1.992	9	1 0 11
1.651	7	1 1 0

Atomic structure:
```
data_Te2MoW2S4
_cell_length_a 3.3020
_cell_length_b 3.3020
_cell_length_c 30.5387
_cell_angle_alpha 90.00
_cell_angle_beta 90.00
_cell_angle_gamma 120.00
_symmetry_space_group_name_H-M 'P 3 m 1'
_symmetry_Int_Tables_number 156
loop_
_symmetry_equiv_pos_as_xyz
'x,y,z'
'-y,x-y,z'
'-x+y,-x,z'
'-y,-x,z'
'-x+y,y,z'
'x,x-y,z'
loop_
_atom_site_label
_atom_site_type_symbol
_atom_site_fract_x
_atom_site_fract_y
_atom_site_fract_z
_atom_site_occupancy
Te1 Te 0.0000 0.0000 0.0000 1
Te2 Te 0.0000 0.0000 0.1263 1
Mo1 Mo 0.0000 0.0000 0.8318 1
W1 W 0.6667 0.3333 0.0632 1
W2 W 0.6667 0.3333 0.6005 1
S1 S 0.0000 0.0000 0.5502 1
S2 S 0.0000 0.0000 0.6508 1
S3 S 0.6667 0.3333 0.7817 1
S4 S 0.6667 0.3333 0.8818 1
```


Record 2
Starting from a GGA-PBE-relaxed structure, the powder diffraction line list of TeMoWS3 was computed for Cu Kα X-rays.
Intensities are scaled so that the largest is 100.

Most intense lines, 2θ from 5° to 70°, low angle first:
d/Å	intensity	hkl
12.731	19	0 0 3
7.639	100	0 0 5
6.366	21	0 0 6
2.830	41	1 0 0
2.437	63	1 0 8
2.356	13	1 0 9
2.039	35	0 1 13
1.635	22	1 1 0

Atomic structure:
```
data_TeMoWS3
_cell_length_a 3.2716
_cell_length_b 3.2716
_cell_length_c 38.1942
_cell_angle_alpha 90.00
_cell_angle_beta 90.00
_cell_angle_gamma 120.00
_symmetry_space_group_name_H-M 'P 3 m 1'
_symmetry_Int_Tables_number 156
loop_
_symmetry_equiv_pos_as_xyz
'x,y,z'
'-y,x-y,z'
'-x+y,-x,z'
'-y,-x,z'
'-x+y,y,z'
'x,x-y,z'
loop_
_atom_site_label
_atom_site_type_symbol
_atom_site_fract_x
_atom_site_fract_y
_atom_site_fract_z
_atom_site_occupancy
Te1 Te 0.0000 0.0000 0.0000 1
Te2 Te 0.0000 0.0000 0.1009 1
Mo1 Mo 0.0000 0.0000 0.8621 1
Mo2 Mo 0.3333 0.6667 0.0504 1
W1 W 0.0000 0.0000 0.2390 1
W2 W 0.3333 0.6667 0.4264 1
S1 S 0.0000 0.0000 0.3860 1
S2 S 0.0000 0.0000 0.4669 1
S3 S 0.3333 0.6667 0.1985 1
S4 S 0.3333 0.6667 0.2794 1
S5 S 0.3333 0.6667 0.8218 1
S6 S 0.3333 0.6667 0.9024 1
```


Record 3
Starting from a GGA-PBE-relaxed structure, the powder diffraction line list of Te6MoW3S2 was computed for Cu Kα X-rays.
Intensities are scaled so that the largest is 100.

Most intense lines, 2θ from 5° to 70°, low angle first:
d/Å	intensity	hkl
13.119	33	0 0 3
7.871	100	0 0 5
6.559	19	0 0 6
2.989	52	1 0 0
2.556	96	0 1 8
2.128	54	1 0 13
2.048	17	0 1 14
1.727	34	1 1 0

Atomic structure:
```
data_Te6MoW3S2
_cell_length_a 3.4539
_cell_length_b 3.4539
_cell_length_c 39.3566
_cell_angle_alpha 90.00
_cell_angle_beta 90.00
_cell_angle_gamma 120.00
_symmetry_space_group_name_H-M 'P 3 m 1'
_symmetry_Int_Tables_number 156
loop_
_symmetry_equiv_pos_as_xyz
'x,y,z'
'-y,x-y,z'
'-x+y,-x,z'
'-y,-x,z'
'-x+y,y,z'
'x,x-y,z'
loop_
_atom_site_label
_atom_site_type_symbol
_atom_site_fract_x
_atom_site_fract_y
_atom_site_fract_z
_atom_site_occupancy
Te1 Te 0.0000 0.0000 0.0000 1
Te2 Te 0.0000 0.0000 0.0940 1
Te3 Te 0.0000 0.0000 0.3754 1
Te4 Te 0.0000 0.0000 0.4699 1
Te5 Te 0.6667 0.3333 0.5634 1
Te6 Te 0.6667 0.3333 0.6579 1
Mo1 Mo 0.6667 0.3333 0.0470 1
W1 W 0.0000 0.0000 0.2349 1
W2 W 0.0000 0.0000 0.6107 1
W3 W 0.6667 0.3333 0.4227 1
S1 S 0.6667 0.3333 0.1970 1
S2 S 0.6667 0.3333 0.2727 1
```